Structure and theoretical powder X-ray diffraction pattern of Th12Fe5Pb (a GGA-PBE-relaxed structure; Cu Kα (λ = 1.5418 Å)).
Peak positions follow from Bragg's law for the DFT cell and can differ from measured ones.

Structure:
```
18
Lattice="-4.7203 4.9254 5.1722 4.7203 -4.9254 5.1722 4.7203 4.9254 -5.1722" Properties=species:S:1:pos:R:3 pbc="T T T"
Th 4.7203 3.1325 -3.1701
Th 2.9230 1.7485 0.0000
Th 6.5175 1.7485 0.0000
Th 1.7247 4.9254 -1.7991
Th 2.9956 0.0000 3.3731
Th 0.0000 1.7929 2.0021
Th 4.7203 3.1325 3.1701
Th 1.7247 4.9254 1.7991
Th 2.9956 0.0000 6.9713
Th -1.7972 3.1769 5.1722
Th 1.7972 3.1769 5.1722
Th 0.0000 1.7929 8.3423
Fe 0.0000 0.0000 0.0000
Fe 4.7203 0.0000 1.3588
Fe 0.0000 3.5373 0.0000
Fe 0.0000 6.3135 0.0000
Fe 0.0000 4.9254 3.8134
Pb 0.0000 0.0000 5.1722
```

Largest 6 diffraction maxima, in order of rising 2θ, 2θ = 10–90°:
d (Å)  Rel. int.
3.239  67
3.130  74
2.998  76
2.846  99
2.679  96
2.660  100